Structure and simulated powder diffraction line list of KAlP2O7 (a GGA-PBE-relaxed structure; Cu Kα (weighted mean of Kα1 and Kα2)).
No peak broadening, texture or thermal motion is included.

Atomic structure:
Lattice parameters (Å, degrees): 7.453 9.782 8.162 90.00 107.11 90.00
Space group P2_1/c (No. 14)
Asymmetric unit:
K  0.181  0.182  0.058
Al  0.239  0.600  0.259
P  0.126  0.597  0.831
P  0.434  0.631  0.688
O  0.022  0.501  0.276
O  0.086  0.741  0.755
O  0.150  0.592  0.020
O  0.323  0.547  0.803
O  0.323  0.604  0.503
O  0.369  0.069  0.761
O  0.443  0.719  0.246

The 10 most intense peaks (15 to 90 degrees two-theta), in order of falling intensity:
Position (°2θ), d [Å], I (rel.), hkl
30.43, 2.938, 100, 2 2 -1
15.39, 5.758, 64, 1 1 0
22.80, 3.900, 63, 0 0 2
30.59, 2.923, 60, 1 1 2
30.14, 2.965, 53, 1 3 0
26.52, 3.361, 34, 1 2 1
29.99, 2.979, 29, 2 1 -2
21.44, 4.144, 25, 0 2 1
29.09, 3.070, 24, 1 2 -2
29.70, 3.008, 19, 0 3 1